Diffraction record for MoO2. The X-ray diffraction stick pattern is theoretical, not measured: it uses a structure optimized by DFT (PBE+U) and Cu Ka.

Atomic structure:
```
MoO2
1.0
4.7472 0.0000 0.0000
0.0000 4.7472 0.0000
0.0000 0.0000 3.2420
Mo O
2 4
direct
0.0000 0.0000 0.0000
0.5000 0.5000 0.5000
0.1986 0.1986 0.5000
0.3014 0.6986 0.0000
0.6986 0.3014 0.0000
0.8014 0.8014 0.5000
```

The 10 most intense peaks (10° ≤ 2θ ≤ 80°), by angle:
- d 3.357, 2θ = 26.55°, I 100, hkl 1 1 0
- d 2.677, 2θ = 33.47°, I 80, hkl 1 0 1
- d 2.374, 2θ = 37.91°, I 19, hkl 2 0 0
- d 1.776, 2θ = 51.45°, I 66, hkl 2 1 1
- d 1.678, 2θ = 54.69°, I 17, hkl 2 2 0
- d 1.621, 2θ = 56.79°, I 9, hkl 0 0 2
- d 1.501, 2θ = 61.80°, I 14, hkl 3 1 0
- d 1.460, 2θ = 63.76°, I 16, hkl 1 1 2
- d 1.422, 2θ = 65.66°, I 20, hkl 3 0 1
- d 1.220, 2θ = 78.39°, I 12, hkl 3 2 1